(1)
For Pr6TlZn, a crystal structure in Alexandria, relaxed with PBE gives the computed XRD peak list in this record (Cu Kα).

Peak list (12 most intense, 10° ≤ 2θ ≤ 80°, sorted by position)
two_theta, I_rel, h k l
17.39, 5, 1 0 1
30.79, 100, 1 1 4
33.77, 43, 2 0 0
37.97, 5, 1 1 6
39.31, 10, 0 0 8
48.50, 15, 2 2 0
52.77, 17, 2 0 8
58.55, 32, 3 1 4
64.13, 9, 2 2 8
66.01, 6, 1 1 12
71.02, 5, 4 0 0
79.38, 7, 3 3 4

Structural model:
```
data_Pr6TlZn
_cell_length_a 5.309
_cell_length_b 5.309
_cell_length_c 18.335
_cell_angle_alpha 90.00
_cell_angle_beta 90.00
_cell_angle_gamma 90.00
_symmetry_space_group_name_H-M 'I 4/m m m'
_symmetry_Int_Tables_number 139
_symmetry_space_group_name_Hall '-I 4 2'
loop_
_atom_site_label
_atom_site_type_symbol
_atom_site_fract_x
_atom_site_fract_y
_atom_site_fract_z
Pr1 Pr 0.000 0.000 0.250
Pr2 Pr 0.000 0.500 0.109
Tl1 Tl 0.000 0.000 0.000
Zn1 Zn 0.000 0.000 0.500
```

=====

(2)
For MnZnNiPt, a crystal structure in Alexandria, relaxed with PBE gives the computed XRD peak list in this record (Cu Kα).

Peak list (12 most intense, 10° ≤ 2θ ≤ 80°, sorted by position)
two_theta, I_rel, h k l
25.40, 10, 0 0 2
26.00, 37, 1 0 1
32.23, 11, 1 1 0
41.47, 100, 1 1 2
45.13, 9, 1 0 3
46.22, 36, 2 0 0
52.17, 13, 0 0 4
53.47, 6, 2 0 2
53.79, 11, 2 1 1
66.59, 6, 2 1 3
67.43, 11, 2 2 0
72.23, 18, 2 0 4

Structural model:
```
data_MnZnNiPt
_cell_length_a 3.928
_cell_length_b 3.928
_cell_length_c 7.013
_cell_angle_alpha 90.00
_cell_angle_beta 90.00
_cell_angle_gamma 90.00
_symmetry_space_group_name_H-M 'I -4 m 2'
_symmetry_Int_Tables_number 119
_symmetry_space_group_name_Hall 'I -4 -2'
loop_
_atom_site_label
_atom_site_type_symbol
_atom_site_fract_x
_atom_site_fract_y
_atom_site_fract_z
Mn1 Mn 0.000 0.000 0.000
Zn1 Zn 0.000 0.000 0.500
Ni1 Ni 0.000 0.500 0.250
Pt1 Pt 0.000 0.500 0.750
```

=====

(3)
For Ac4La3MnN8, a crystal structure in Alexandria, relaxed with PBE gives the computed XRD peak list in this record (Cu Kα).

Peak list (12 most intense, 10° ≤ 2θ ≤ 80°, sorted by position)
two_theta, I_rel, h k l
14.39, 19, 2 0 -1
28.86, 34, 0 0 2
29.05, 100, 2 2 0
31.72, 37, 4 0 0
34.53, 58, 2 2 -2
47.48, 23, 2 2 2
47.69, 23, 6 2 -2
49.48, 10, 4 0 -4
54.90, 18, 6 2 0
58.32, 10, 2 2 -4
58.54, 21, 6 2 -4
60.22, 17, 4 4 0

Structural model:
```
data_Ac4La3MnN8
_cell_length_a 13.440
_cell_length_b 7.326
_cell_length_c 7.369
_cell_angle_alpha 90.00
_cell_angle_beta 122.90
_cell_angle_gamma 90.00
_symmetry_space_group_name_H-M 'C 1 2/m 1'
_symmetry_Int_Tables_number 12
_symmetry_space_group_name_Hall '-C 2y'
loop_
_atom_site_label
_atom_site_type_symbol
_atom_site_fract_x
_atom_site_fract_y
_atom_site_fract_z
Ac1 Ac 0.000 0.000 0.000
Ac2 Ac 0.000 0.500 0.000
Ac3 Ac 0.250 0.250 0.500
La1 La 0.000 0.000 0.500
La2 La 0.250 0.250 0.000
Mn1 Mn 0.000 0.500 0.500
N1 N 0.000 0.274 0.281
N2 N 0.219 0.000 0.210
N3 N 0.249 0.000 0.758
```

=====

(4)
For SrMg2Ag, a crystal structure in Alexandria, relaxed with PBE gives the computed XRD peak list in this record (Cu Kα).

Peak list (12 most intense, 10° ≤ 2θ ≤ 80°, sorted by position)
two_theta, I_rel, h k l
20.81, 36, 4 0 0
21.27, 78, 0 2 0
29.88, 33, 4 2 0
30.31, 18, 3 2 1
31.86, 28, 5 1 1
33.03, 100, 2 1 2
33.39, 20, 4 2 1
34.75, 21, 6 0 1
36.42, 19, 6 1 1
37.00, 18, 2 3 1
45.39, 28, 2 3 2
66.58, 20, 12 1 0

Structural model:
```
data_SrMg2Ag
_cell_length_a 17.107
_cell_length_b 8.360
_cell_length_c 6.085
_cell_angle_alpha 90.00
_cell_angle_beta 90.00
_cell_angle_gamma 90.00
_symmetry_space_group_name_H-M 'P n m a'
_symmetry_Int_Tables_number 62
_symmetry_space_group_name_Hall '-P 2ac 2n'
loop_
_atom_site_label
_atom_site_type_symbol
_atom_site_fract_x
_atom_site_fract_y
_atom_site_fract_z
Sr1 Sr 0.106 0.250 0.239
Sr2 Sr 0.137 0.750 0.039
Mg1 Mg 0.040 0.059 0.732
Mg2 Mg 0.212 0.557 0.545
Ag1 Ag 0.069 0.750 0.530
Ag2 Ag 0.186 0.250 0.755
```

=====

(5)
For NaPmCuF6, a crystal structure in Alexandria, relaxed with PBE gives the computed XRD peak list in this record (Cu Kα).

Peak list (12 most intense, 10° ≤ 2θ ≤ 80°, sorted by position)
two_theta, I_rel, h k l
17.79, 58, 1 0 0
18.89, 83, 0 0 2
20.17, 34, 1 0 1
26.06, 99, 1 0 2
31.08, 59, 1 1 0
36.62, 100, 1 1 2
40.99, 28, 2 0 2
50.12, 77, 1 1 4
52.32, 28, 2 1 2
55.29, 37, 3 0 0
58.97, 25, 3 0 2
68.16, 31, 2 -1 6

Structural model:
```
data_NaPmCuF6
_cell_length_a 5.7555
_cell_length_b 5.7555
_cell_length_c 9.3976
_cell_angle_alpha 90.00
_cell_angle_beta 90.00
_cell_angle_gamma 120.00
_symmetry_space_group_name_H-M 'P -3 1 c'
_symmetry_Int_Tables_number 163
_symmetry_space_group_name_Hall '-P 3 2c'
loop_
_atom_site_label
_atom_site_type_symbol
_atom_site_fract_x
_atom_site_fract_y
_atom_site_fract_z
Na1 Na 0.0000 0.0000 0.0000
Pm1 Pm 0.3333 0.6667 0.2500
Cu1 Cu 0.3333 0.6667 0.7500
F1 F 0.0293 0.3657 0.6327
```

=====

(6)
For Rh2PbW, a crystal structure in Alexandria, relaxed with PBE gives the computed XRD peak list in this record (Cu Kα).

Peak list (12 most intense, 10° ≤ 2θ ≤ 80°, sorted by position)
two_theta, I_rel, h k l
22.52, 8, 0 0 2
30.80, 8, 1 1 0
38.49, 100, 1 1 2
44.12, 34, 2 0 0
45.97, 15, 0 0 4
50.08, 4, 2 0 2
56.36, 3, 1 1 4
64.16, 11, 2 2 0
65.61, 21, 2 0 4
68.92, 2, 2 2 2
72.85, 2, 3 1 0
77.37, 26, 3 1 2

Structural model:
```
data_Rh2PbW
_cell_length_a 4.106
_cell_length_b 4.106
_cell_length_c 7.897
_cell_angle_alpha 90.00
_cell_angle_beta 90.00
_cell_angle_gamma 90.00
_symmetry_space_group_name_H-M 'I 4/m m m'
_symmetry_Int_Tables_number 139
_symmetry_space_group_name_Hall '-I 4 2'
loop_
_atom_site_label
_atom_site_type_symbol
_atom_site_fract_x
_atom_site_fract_y
_atom_site_fract_z
Rh1 Rh 0.000 0.500 0.250
Pb1 Pb 0.000 0.000 0.000
W1 W 0.000 0.000 0.500
```

=====

Copy entry 3 word for word.
For Ac4La3MnN8, a crystal structure in Alexandria, relaxed with PBE gives the computed XRD peak list in this record (Cu Kα).

Peak list (12 most intense, 10° ≤ 2θ ≤ 80°, sorted by position)
two_theta, I_rel, h k l
14.39, 19, 2 0 -1
28.86, 34, 0 0 2
29.05, 100, 2 2 0
31.72, 37, 4 0 0
34.53, 58, 2 2 -2
47.48, 23, 2 2 2
47.69, 23, 6 2 -2
49.48, 10, 4 0 -4
54.90, 18, 6 2 0
58.32, 10, 2 2 -4
58.54, 21, 6 2 -4
60.22, 17, 4 4 0

Structural model:
```
data_Ac4La3MnN8
_cell_length_a 13.440
_cell_length_b 7.326
_cell_length_c 7.369
_cell_angle_alpha 90.00
_cell_angle_beta 122.90
_cell_angle_gamma 90.00
_symmetry_space_group_name_H-M 'C 1 2/m 1'
_symmetry_Int_Tables_number 12
_symmetry_space_group_name_Hall '-C 2y'
loop_
_atom_site_label
_atom_site_type_symbol
_atom_site_fract_x
_atom_site_fract_y
_atom_site_fract_z
Ac1 Ac 0.000 0.000 0.000
Ac2 Ac 0.000 0.500 0.000
Ac3 Ac 0.250 0.250 0.500
La1 La 0.000 0.000 0.500
La2 La 0.250 0.250 0.000
Mn1 Mn 0.000 0.500 0.500
N1 N 0.000 0.274 0.281
N2 N 0.219 0.000 0.210
N3 N 0.249 0.000 0.758
```